Theoretical XRD peak list of Cr6CuSi2Pb10O34 for λ = 1.5418 Å (Cu Kα), from a structure optimized by DFT (PBE+U).
Neutral-atom scattering factors, no anomalous dispersion.

Atomic structure:
Lattice parameters (Å, degrees): 10.067 10.190 10.240 63.00 69.86 66.67
Space group P-1 (No. 2)
Symmetry-distinct sites (fractional):
Cr 0.042 0.152 0.286 [2 per cell]
Cr 0.225 0.327 0.493 [2 per cell]
Cr 0.269 0.664 0.006 [2 per cell]
Cu 0.500 0.500 0.500 [1 per cell]
Si 0.480 0.829 0.205 [2 per cell]
Pb 0.133 0.749 0.324 [2 per cell]
Pb 0.182 0.473 0.788 [2 per cell]
Pb 0.248 0.032 0.922 [2 per cell]
Pb 0.356 0.826 0.573 [2 per cell]
Pb 0.361 0.241 0.165 [2 per cell]
O 0.009 0.022 0.255 [2 per cell]
O 0.080 0.292 0.126 [2 per cell]
O 0.111 0.770 0.606 [2 per cell]
O 0.115 0.412 0.373 [2 per cell]
O 0.118 0.778 0.080 [2 per cell]
O 0.142 0.221 0.657 [2 per cell]
O 0.189 0.075 0.365 [2 per cell]
O 0.223 0.562 0.948 [2 per cell]
O 0.257 0.462 0.519 [2 per cell]
O 0.333 0.866 0.145 [2 per cell]
O 0.362 0.239 0.897 [2 per cell]
O 0.364 0.784 0.860 [2 per cell]
O 0.367 0.544 0.133 [2 per cell]
O 0.385 0.215 0.423 [2 per cell]
O 0.396 0.554 0.660 [2 per cell]
O 0.451 0.713 0.385 [2 per cell]
O 0.499 0.019 0.793 [2 per cell]

Most intense lines, 5° ≤ 2θ ≤ 70°, in order of falling intensity:
2θ 26.34, rel. 1000, hkl 1 1 3
2θ 26.64, rel. 505, hkl 3 1 1
2θ 29.09, rel. 472, hkl 1 -2 1
2θ 17.89, rel. 386, hkl -1 1 1
2θ 21.53, rel. 381, hkl 2 1 2
2θ 46.50, rel. 358, hkl 3 2 5
2θ 30.82, rel. 353, hkl 2 0 -2
2θ 29.93, rel. 344, hkl 0 3 2
2θ 32.55, rel. 337, hkl 3 3 1
2θ 19.61, rel. 283, hkl 2 0 0